Diffraction record for CsNbSe3. The powder diffractogram is computed, not measured: it uses a cell relaxed with PBE and Cu Kα X-rays.
Intensities are scaled so that the largest is 100.

Top 6 peaks for 2θ from 10° to 90°, low angle first:
2theta	d/Å	I_rel
11.1	7.975	100
18.6	4.770	83
25.9	3.435	93
32.6	2.746	73
35.9	2.502	64
36.4	2.469	71

Structural model:
Lattice parameters (Å, degrees): 20.406 3.847 9.735 90.00 106.40 90.00
Space group C2/m (No. 12)
Unique sites:
Cs: 0.104 0.000 0.368 x4
Nb: 0.170 0.500 0.823 x4
Se: 0.079 0.000 0.735 x4
Se: 0.194 0.000 0.022 x4
Se: 0.221 0.500 0.632 x4